Starting from a structure optimized by DFT (PBE), the X-ray diffraction stick pattern of Mg3H4Ir2 was calculated for Cu Kα, 1.54184 Å.
Kinematic intensities with the Lorentz-polarization factor, no thermal factor.

Most intense lines, 5 to 70 degrees two-theta, sorted by position:
Position (°2θ)  I (rel.)
15.93  60
22.53  50
27.70  83
27.86  45
39.46  30
39.66  100
39.74  67
57.19  20

```
Mg3H4Ir2
1.0
3.921 -2.284 0.000
3.921 2.284 0.000
-0.020 0.000 5.562
Mg H Ir
3 4 2
Direct
0.000 0.000 0.000
0.344 0.320 0.338
0.680 0.656 0.662
0.176 0.672 0.671
0.186 0.157 0.665
0.328 0.824 0.329
0.843 0.814 0.335
0.339 0.343 0.847
0.657 0.661 0.153
```

Starting from a structure optimized by DFT (PBE), the X-ray diffraction stick pattern of Er5P12Ru19 was calculated for Cu Kα, 1.54184 Å.
Kinematic intensities with the Lorentz-polarization factor, no thermal factor.

Most intense lines, 5 to 70 degrees two-theta, sorted by position:
Position (°2θ)  I (rel.)
28.55  17
36.58  100
37.55  25
38.08  12
45.70  23
46.70  8
50.57  15
69.70  7

```
Er5P12Ru19
1.0
12.504 0.000 0.000
-6.252 10.829 0.000
0.000 0.000 3.971
Er P Ru
5 12 19
Direct
0.000 0.817 0.000
0.183 0.183 0.000
0.333 0.667 0.500
0.667 0.333 0.500
0.817 0.000 0.000
0.000 0.184 0.500
0.000 0.628 0.500
0.172 0.478 0.000
0.184 0.000 0.500
0.306 0.828 0.000
0.372 0.372 0.500
0.478 0.172 0.000
0.522 0.694 0.000
0.628 0.000 0.500
0.694 0.522 0.000
0.816 0.816 0.500
0.828 0.306 0.000
0.000 0.000 0.500
0.000 0.282 0.000
0.000 0.445 0.500
0.126 0.634 0.000
0.185 0.377 0.500
0.191 0.815 0.500
0.282 0.000 0.000
0.366 0.492 0.000
0.377 0.185 0.500
0.445 0.000 0.500
0.492 0.366 0.000
0.508 0.874 0.000
0.555 0.555 0.500
0.623 0.809 0.500
0.634 0.126 0.000
0.718 0.718 0.000
0.809 0.623 0.500
0.815 0.191 0.500
0.874 0.508 0.000
```

Starting from a structure optimized by DFT (PBE), the X-ray diffraction stick pattern of SrLi5Ag was calculated for Cu Kα, 1.54184 Å.
Kinematic intensities with the Lorentz-polarization factor, no thermal factor.

Most intense lines, 5 to 70 degrees two-theta, sorted by position:
Position (°2θ)  I (rel.)
17.94  43
23.33  100
30.59  23
34.82  36
35.69  43
48.22  14
50.22  24
57.14  16

```
SrLi5Ag
1.0
4.132 0.000 0.000
0.000 4.132 0.000
0.000 0.000 9.887
Sr Li Ag
1 5 1
Direct
0.000 0.000 0.000
0.000 0.000 0.500
0.000 0.500 0.302
0.000 0.500 0.698
0.500 0.000 0.302
0.500 0.000 0.698
0.500 0.500 0.500
```

Starting from a structure optimized by DFT (PBE), the X-ray diffraction stick pattern of TbHo8Ir6 was calculated for Cu Kα, 1.54184 Å.
Kinematic intensities with the Lorentz-polarization factor, no thermal factor.

Most intense lines, 5 to 70 degrees two-theta, sorted by position:
Position (°2θ)  I (rel.)
21.53  19
26.25  17
37.17  100
37.76  92
54.02  34
66.61  18
67.78  35
68.17  16

```
TbHo8Ir6
1.0
4.127 2.383 5.972
-4.127 2.383 5.972
0.000 -4.765 5.972
Tb Ho Ir
1 8 6
Direct
0.000 0.000 0.000
0.111 0.778 0.448
0.222 0.552 0.889
0.334 0.334 0.334
0.448 0.111 0.778
0.552 0.889 0.222
0.666 0.666 0.666
0.778 0.448 0.111
0.889 0.222 0.552
0.057 0.391 0.723
0.277 0.943 0.609
0.391 0.723 0.057
0.609 0.277 0.943
0.723 0.057 0.391
0.943 0.609 0.277
```

Starting from a structure optimized by DFT (PBE), the X-ray diffraction stick pattern of La6GeC was calculated for Cu Kα, 1.54184 Å.
Kinematic intensities with the Lorentz-polarization factor, no thermal factor.

Most intense lines, 5 to 70 degrees two-theta, sorted by position:
Position (°2θ)  I (rel.)
27.23  44
27.59  21
29.69  100
29.86  39
30.43  19
31.12  26
35.64  20
39.11  18

```
La6GeC
1.0
6.602 0.000 0.000
2.897 6.040 0.000
0.136 3.563 6.549
La Ge C
6 1 1
Direct
0.048 0.174 0.237
0.229 0.189 0.771
0.367 0.560 0.221
0.633 0.440 0.779
0.771 0.811 0.229
0.952 0.826 0.763
0.500 0.000 0.500
0.000 0.000 0.000
```

Starting from a structure optimized by DFT (PBE), the X-ray diffraction stick pattern of Pa3Si4Pd7 was calculated for Cu Kα, 1.54184 Å.
Kinematic intensities with the Lorentz-polarization factor, no thermal factor.

Most intense lines, 5 to 70 degrees two-theta, sorted by position:
Position (°2θ)  I (rel.)
23.83  27
30.56  26
35.80  100
35.97  32
36.34  60
37.89  24
42.88  28
44.63  39

```
Pa3Si4Pd7
1.0
7.821 -2.030 0.000
7.821 2.030 0.000
-5.584 0.000 7.686
Pa Si Pd
3 4 7
Direct
0.000 0.000 0.000
0.319 0.319 0.324
0.681 0.681 0.676
0.110 0.110 0.829
0.343 0.343 0.744
0.657 0.657 0.256
0.890 0.890 0.171
0.000 0.000 0.500
0.166 0.166 0.430
0.309 0.309 0.971
0.491 0.491 0.710
0.509 0.509 0.290
0.691 0.691 0.029
0.834 0.834 0.570
```

Starting from a structure optimized by DFT (PBE), the X-ray diffraction stick pattern of UPd4Au2 was calculated for Cu Kα, 1.54184 Å.
Kinematic intensities with the Lorentz-polarization factor, no thermal factor.

Most intense lines, 5 to 70 degrees two-theta, sorted by position:
Position (°2θ)  I (rel.)
37.24  100
37.44  96
38.05  95
38.14  93
42.92  67
43.83  63
44.74  58
62.94  21

```
UPd4Au2
1.0
5.896 0.000 0.000
-1.599 6.221 0.000
-1.297 -3.547 6.734
U Pd Au
2 8 4
Direct
0.000 0.000 0.000
0.355 0.878 0.566
0.063 0.574 0.696
0.119 0.141 0.413
0.281 0.275 0.851
0.416 0.420 0.279
0.491 0.990 0.982
0.626 0.131 0.419
0.716 0.714 0.115
0.786 0.277 0.852
0.225 0.696 0.122
0.555 0.550 0.692
0.848 0.863 0.557
0.899 0.431 0.271
```

Starting from a structure optimized by DFT (PBE), the X-ray diffraction stick pattern of Te2P3O12 was calculated for Cu Kα, 1.54184 Å.
Kinematic intensities with the Lorentz-polarization factor, no thermal factor.

Most intense lines, 5 to 70 degrees two-theta, sorted by position:
Position (°2θ)  I (rel.)
14.02  48
19.17  100
20.55  68
23.49  44
28.25  57
30.76  65
35.19  30
35.99  29

```
Te2P3O12
1.0
4.322 2.495 7.856
-4.322 2.495 7.856
0.000 -4.991 7.856
Te P O
4 6 24
Direct
0.141 0.141 0.141
0.347 0.347 0.347
0.653 0.653 0.653
0.859 0.859 0.859
0.043 0.749 0.455
0.251 0.545 0.957
0.455 0.043 0.749
0.545 0.957 0.251
0.749 0.455 0.043
0.957 0.251 0.545
0.030 0.788 0.603
0.119 0.747 0.877
0.123 0.881 0.253
0.153 0.214 0.524
0.175 0.540 0.480
0.212 0.397 0.970
0.214 0.524 0.153
0.253 0.123 0.881
0.397 0.970 0.212
0.460 0.520 0.825
0.476 0.847 0.786
0.480 0.175 0.540
0.520 0.825 0.460
0.524 0.153 0.214
0.540 0.480 0.175
0.603 0.030 0.788
0.747 0.877 0.119
0.786 0.476 0.847
0.788 0.603 0.030
0.825 0.460 0.520
0.847 0.786 0.476
0.877 0.119 0.747
0.881 0.253 0.123
0.970 0.212 0.397
```

Which formula does entry 5 have?
La6GeC